Entry 1:
Diffraction record for In7Hg5. The powder XRD pattern is theoretical, not measured: it uses a DFT-relaxed cell (PBE, Alexandria) and λ = 1.5418 Å (Cu Kα).

Atomic structure:
Cell: 8.6475 8.6475 13.9100 Å, 125.40 125.40 22.35°
Fractional positions:
In 0.0000 0.0000 0.0000
In 0.3021 0.3021 0.7511
In 0.3379 0.3379 0.5037
In 0.3711 0.3711 0.2491
In 0.6289 0.6289 0.7509
In 0.6621 0.6621 0.4963
In 0.6979 0.6979 0.2489
Hg 0.0000 0.0000 0.5000
Hg 0.0327 0.0327 0.2477
Hg 0.3305 0.3305 0.9961
Hg 0.6695 0.6695 0.0039
Hg 0.9673 0.9673 0.7523

Largest 10 diffraction maxima, in order of rising 2θ, 5° ≤ 2θ ≤ 70°:
2θ = 31.25°, rel. 187; 2θ = 31.88°, rel. 673; 2θ = 32.86°, rel. 260; 2θ = 33.16°, rel. 1000; 2θ = 35.20°, rel. 131; 2θ = 37.27°, rel. 713; 2θ = 39.48°, rel. 166; 2θ = 54.78°, rel. 388; 2θ = 63.07°, rel. 193; 2θ = 64.80°, rel. 174

Entry 2:
Diffraction record for InHg11. The powder XRD pattern is theoretical, not measured: it uses a DFT-relaxed cell (PBE, Alexandria) and λ = 1.5418 Å (Cu Kα).

Atomic structure:
Cell: 10.8611 10.8611 3.2237 Å, 90.00 90.00 120.00°
Fractional positions:
In 0.0000 0.0000 0.0000
Hg 0.0000 0.5000 0.0000
Hg 0.1712 0.3424 0.5000
Hg 0.1712 0.8288 0.5000
Hg 0.3333 0.6667 0.0000
Hg 0.3424 0.1712 0.5000
Hg 0.5000 0.0000 0.0000
Hg 0.5000 0.5000 0.0000
Hg 0.6576 0.8288 0.5000
Hg 0.6667 0.3333 0.0000
Hg 0.8288 0.1712 0.5000
Hg 0.8288 0.6576 0.5000

Largest 10 diffraction maxima, in order of rising 2θ, 5° ≤ 2θ ≤ 70°:
2θ = 32.29°, rel. 203; 2θ = 32.99°, rel. 1000; 2θ = 33.71°, rel. 442; 2θ = 37.67°, rel. 167; 2θ = 40.12°, rel. 115; 2θ = 47.88°, rel. 166; 2θ = 58.91°, rel. 191; 2θ = 59.37°, rel. 174; 2θ = 67.59°, rel. 260; 2θ = 69.20°, rel. 118